Calculated powder X-ray diffraction pattern
Compound: Mn2As
Radiation: Cu Kα
Structure: DFT lattice parameters and positions (GGA-PBE)
No peak broadening, texture or thermal motion is included.

Top 10 peaks for 5° ≤ 2θ ≤ 70°, by angle:
Position (°2θ)	intensity
14.0	7
28.5	18
35.2	29
37.8	15
38.0	71
42.9	21
45.7	100
50.1	32
50.6	59
68.4	19

Crystal structure
a = 3.609 Å, b = 3.609 Å, c = 6.324 Å
α = 90.00°, β = 90.00°, γ = 90.00°
Fractional coordinates of all 6 atoms:
Mn 0.250 0.250 0.147
Mn 0.250 0.750 0.500
Mn 0.750 0.250 0.500
Mn 0.750 0.750 0.853
As 0.250 0.250 0.762
As 0.750 0.750 0.238

=====

Calculated powder X-ray diffraction pattern
Compound: MgPaB
Radiation: Cu Kα
Structure: DFT lattice parameters and positions (GGA-PBE)
No peak broadening, texture or thermal motion is included.

Top 10 peaks for 5° ≤ 2θ ≤ 70°, by angle:
Position (°2θ)	intensity
8.3	100
25.1	26
26.2	38
29.9	23
33.4	59
39.2	14
39.5	17
41.1	32
44.6	14
55.6	16

Crystal structure
a = 3.446 Å, b = 21.299 Å, c = 3.112 Å
α = 90.00°, β = 90.00°, γ = 90.00°
Fractional coordinates of all 12 atoms:
Mg 0.000 0.200 0.250
Mg 0.000 0.800 0.750
Mg 0.500 0.300 0.750
Mg 0.500 0.700 0.250
Pa 0.000 0.423 0.250
Pa 0.000 0.577 0.750
Pa 0.500 0.077 0.750
Pa 0.500 0.923 0.250
B 0.000 0.017 0.250
B 0.000 0.983 0.750
B 0.500 0.483 0.750
B 0.500 0.517 0.250

=====

Calculated powder X-ray diffraction pattern
Compound: Zn4Cd
Radiation: Cu Kα
Structure: DFT lattice parameters and positions (GGA-PBE)
No peak broadening, texture or thermal motion is included.

Top 10 peaks for 5° ≤ 2θ ≤ 70°, by angle:
Position (°2θ)	intensity
32.8	11
37.1	100
40.4	83
40.8	39
41.7	42
42.1	16
51.9	14
59.8	24
61.7	11
68.7	12

Crystal structure
a = 6.869 Å, b = 6.869 Å, c = 6.013 Å
α = 90.00°, β = 90.00°, γ = 143.27°
Fractional coordinates of all 10 atoms:
Zn 0.000 0.000 0.000
Zn 0.000 0.000 0.500
Zn 0.197 0.803 0.518
Zn 0.197 0.803 0.982
Zn 0.376 0.624 0.250
Zn 0.624 0.376 0.750
Zn 0.803 0.197 0.018
Zn 0.803 0.197 0.482
Cd 0.403 0.597 0.750
Cd 0.597 0.403 0.250

=====

Calculated powder X-ray diffraction pattern
Compound: Tb2Zn4Cu5
Radiation: Cu Kα
Structure: DFT lattice parameters and positions (GGA-PBE)
No peak broadening, texture or thermal motion is included.

Top 10 peaks for 5° ≤ 2θ ≤ 70°, by angle:
Position (°2θ)	intensity
25.9	44
30.5	55
35.4	50
39.0	100
39.5	50
40.9	96
45.5	34
46.1	44
54.2	27
63.7	23

Crystal structure
a = 9.024 Å, b = 8.315 Å, c = 5.147 Å
α = 80.44°, β = 65.33°, γ = 34.23°
Fractional coordinates of all 11 atoms:
Tb 0.134 0.134 0.866
Tb 0.866 0.866 0.134
Zn 0.215 0.528 0.472
Zn 0.472 0.785 0.215
Zn 0.528 0.215 0.785
Zn 0.785 0.472 0.528
Cu 0.000 0.000 0.500
Cu 0.250 0.250 0.250
Cu 0.500 0.500 0.000
Cu 0.500 0.500 0.500
Cu 0.750 0.750 0.750

=====

Calculated powder X-ray diffraction pattern
Compound: Mn2PS
Radiation: Cu Kα
Structure: DFT lattice parameters and positions (GGA-PBE)
No peak broadening, texture or thermal motion is included.

Top 4 peaks for 5° ≤ 2θ ≤ 70°, by angle:
Position (°2θ)	intensity
31.9	11
45.8	100
56.9	3
66.7	15

Crystal structure
a = 5.606 Å, b = 5.606 Å, c = 5.606 Å
α = 90.00°, β = 90.00°, γ = 90.00°
Fractional coordinates of all 16 atoms:
Mn 0.250 0.250 0.250
Mn 0.250 0.250 0.750
Mn 0.250 0.750 0.250
Mn 0.250 0.750 0.750
Mn 0.750 0.250 0.250
Mn 0.750 0.250 0.750
Mn 0.750 0.750 0.250
Mn 0.750 0.750 0.750
P 0.000 0.000 0.000
P 0.000 0.500 0.500
P 0.500 0.000 0.500
P 0.500 0.500 0.000
S 0.000 0.000 0.500
S 0.000 0.500 0.000
S 0.500 0.000 0.000
S 0.500 0.500 0.500

=====

Calculated powder X-ray diffraction pattern
Compound: ZnCdBr2Cl
Radiation: Cu Kα
Structure: DFT lattice parameters and positions (GGA-PBE)
No peak broadening, texture or thermal motion is included.

Top 10 peaks for 5° ≤ 2θ ≤ 70°, by angle:
Position (°2θ)	intensity
9.9	25
19.4	100
22.9	21
24.0	40
27.0	54
31.0	35
37.9	29
42.0	17
42.4	77
47.2	22

Crystal structure
a = 3.973 Å, b = 4.742 Å, c = 17.884 Å
α = 90.00°, β = 90.00°, γ = 90.00°
Fractional coordinates of all 10 atoms:
Zn 0.000 0.000 0.000
Zn 0.500 0.500 0.500
Cd 0.000 0.000 0.151
Cd 0.500 0.500 0.651
Br 0.000 0.500 0.418
Br 0.000 0.500 0.749
Br 0.500 0.000 0.249
Br 0.500 0.000 0.918
Cl 0.000 0.500 0.065
Cl 0.500 0.000 0.565

=====

Calculated powder X-ray diffraction pattern
Compound: Np2Sb2S7
Radiation: Cu Kα
Structure: DFT lattice parameters and positions (GGA-PBE)
No peak broadening, texture or thermal motion is included.

Top 10 peaks for 5° ≤ 2θ ≤ 70°, by angle:
Position (°2θ)	intensity
11.7	38
23.5	50
23.9	96
25.1	36
27.7	100
34.7	65
39.2	38
44.1	48
46.2	43
53.0	34

Crystal structure
a = 8.899 Å, b = 8.899 Å, c = 8.899 Å
α = 154.64°, β = 63.71°, γ = 122.64°
Fractional coordinates of all 11 atoms:
Np 0.000 0.000 0.000
Np 0.544 0.044 0.500
Sb 0.490 0.723 0.767
Sb 0.955 0.723 0.233
S 0.217 0.717 0.500
S 0.273 0.090 0.184
S 0.374 0.496 0.878
S 0.618 0.496 0.122
S 0.724 0.320 0.404
S 0.906 0.090 0.816
S 0.916 0.320 0.596

=====

Calculated powder X-ray diffraction pattern
Compound: BaP2RhS8
Radiation: Cu Kα
Structure: DFT lattice parameters and positions (GGA-PBE)
No peak broadening, texture or thermal motion is included.

Top 10 peaks for 5° ≤ 2θ ≤ 70°, by angle:
Position (°2θ)	intensity
17.5	77
20.1	28
26.8	100
30.5	45
32.2	43
36.8	82
41.0	34
51.8	41
51.9	33
54.2	36

Crystal structure
a = 5.865 Å, b = 5.865 Å, c = 8.832 Å
α = 90.00°, β = 90.00°, γ = 120.00°
Fractional coordinates of all 12 atoms:
Ba 0.000 0.000 0.000
P 0.333 0.667 0.722
P 0.667 0.333 0.278
Rh 0.000 0.000 0.500
S 0.010 0.681 0.335
S 0.319 0.328 0.335
S 0.328 0.010 0.665
S 0.333 0.667 0.952
S 0.667 0.333 0.048
S 0.672 0.990 0.335
S 0.681 0.672 0.665
S 0.990 0.319 0.665

=====

Calculated powder X-ray diffraction pattern
Compound: AcAs
Radiation: Cu Kα
Structure: DFT lattice parameters and positions (GGA-PBE)
No peak broadening, texture or thermal motion is included.

Top 8 peaks for 5° ≤ 2θ ≤ 70°, by angle:
Position (°2θ)	intensity
23.9	43
27.7	100
39.6	78
46.8	23
49.0	28
57.2	14
62.9	10
64.8	37

Crystal structure
a = 6.438 Å, b = 6.438 Å, c = 6.438 Å
α = 90.00°, β = 90.00°, γ = 90.00°
Fractional coordinates of all 8 atoms:
Ac 0.000 0.000 0.000
Ac 0.000 0.500 0.500
Ac 0.500 0.000 0.500
Ac 0.500 0.500 0.000
As 0.000 0.000 0.500
As 0.000 0.500 0.000
As 0.500 0.000 0.000
As 0.500 0.500 0.500

=====

Calculated powder X-ray diffraction pattern
Compound: NpPPt2
Radiation: Cu Kα
Structure: DFT lattice parameters and positions (GGA-PBE)
No peak broadening, texture or thermal motion is included.

Top 10 peaks for 5° ≤ 2θ ≤ 70°, by angle:
Position (°2θ)	intensity
22.4	17
25.4	26
26.9	6
36.4	100
40.3	62
44.9	35
55.4	25
65.5	18
65.9	12
68.1	27

Crystal structure
a = 4.939 Å, b = 4.939 Å, c = 10.520 Å
α = 90.00°, β = 90.00°, γ = 120.00°
Fractional coordinates of all 12 atoms:
Np 0.000 0.000 0.000
Np 0.333 0.667 0.667
Np 0.667 0.333 0.333
P 0.000 0.000 0.500
P 0.333 0.667 0.167
P 0.667 0.333 0.833
Pt 0.000 0.000 0.273
Pt 0.000 0.000 0.727
Pt 0.333 0.667 0.394
Pt 0.333 0.667 0.939
Pt 0.667 0.333 0.061
Pt 0.667 0.333 0.606

=====

Calculated powder X-ray diffraction pattern
Compound: Tb3Dy8Mg
Radiation: Cu Kα
Structure: DFT lattice parameters and positions (GGA-PBE)
No peak broadening, texture or thermal motion is included.

Top 10 peaks for 5° ≤ 2θ ≤ 70°, by angle:
Position (°2θ)	intensity
29.8	26
30.0	23
31.5	29
32.2	100
32.6	65
33.0	33
33.4	46
55.1	35
61.8	32
62.8	20

Crystal structure
a = 9.473 Å, b = 3.570 Å, c = 11.458 Å
α = 90.00°, β = 104.34°, γ = 90.00°
Fractional coordinates of all 12 atoms:
Tb 0.000 0.000 0.000
Tb 0.210 0.500 0.516
Tb 0.475 0.500 0.790
Dy 0.153 0.000 0.765
Dy 0.322 0.500 0.031
Dy 0.541 0.000 0.548
Dy 0.595 0.500 0.296
Dy 0.660 0.000 0.047
Dy 0.819 0.500 0.747
Dy 0.882 0.000 0.490
Dy 0.951 0.500 0.243
Mg 0.272 0.000 0.272

=====

Calculated powder X-ray diffraction pattern
Compound: Na4Nb3O10
Radiation: Cu Kα
Structure: DFT lattice parameters and positions (GGA-PBE)
No peak broadening, texture or thermal motion is included.

Top 10 peaks for 5° ≤ 2θ ≤ 70°, by angle:
Position (°2θ)	intensity
6.2	22
18.7	46
22.4	93
31.3	100
31.6	61
44.5	25
45.2	51
55.5	22
56.0	39
65.3	28

Crystal structure
a = 14.540 Å, b = 14.540 Å, c = 14.540 Å
α = 164.15°, β = 164.15°, γ = 22.49°
Fractional coordinates of all 17 atoms:
Na 0.075 0.075 0.000
Na 0.209 0.209 0.000
Na 0.791 0.791 0.000
Na 0.925 0.925 0.000
Nb 0.354 0.354 0.000
Nb 0.500 0.500 0.000
Nb 0.646 0.646 0.000
O 0.000 0.500 0.500
O 0.139 0.639 0.500
O 0.289 0.289 0.000
O 0.361 0.861 0.500
O 0.431 0.431 0.000
O 0.500 0.000 0.500
O 0.569 0.569 0.000
O 0.639 0.139 0.500
O 0.711 0.711 0.000
O 0.861 0.361 0.500